(1)
# PdI2N2
Calculated powder X-ray diffraction pattern, Cu Ka. Input: a GGA-PBE-relaxed structure.
No peak broadening, texture or thermal motion is included.

Cell and atoms:
Cell: 8.5658 13.4780 10.1162 Å, 90.00 90.00 90.00°
Space group Pbca (No. 61)
One atom of each set of equivalent atoms:
Pd (0.1298, 0.2319, 0.1415) x8
I (0.0959, 0.6778, 0.6366) x8
I (0.1710, 0.0572, 0.3538) x8
N (0.0542, 0.6923, 0.8358) x8
N (0.1417, 0.0944, 0.1601) x8

Peak list (10 most intense, 2θ from 5° to 70°, sorted by position)
13.1 deg, I 26, (0 2 0); 18.9 deg, I 19, (1 2 1); 23.5 deg, I 58, (2 1 1); 24.0 deg, I 25, (1 3 1); 24.3 deg, I 100, (1 2 2); 27.9 deg, I 29, (0 4 1); 35.5 deg, I 30, (0 0 4); 36.1 deg, I 23, (3 0 2); 39.5 deg, I 35, (2 5 0); 54.1 deg, I 23, (2 5 4)


(2)
# DyTmIn2
Calculated powder X-ray diffraction pattern, Cu Ka. Input: a GGA-PBE-relaxed structure.
No peak broadening, texture or thermal motion is included.

Cell and atoms:
Cell: 7.4726 7.4726 7.4726 Å, 90.00 90.00 90.00°
Space group Fm-3m (No. 225)
One atom of each set of equivalent atoms:
Dy (0.0000, 0.0000, 0.0000) x4
Tm (0.0000, 0.0000, 0.5000) x4
In (0.2500, 0.2500, 0.2500) x8

Peak list (6 most intense, 2θ from 5° to 70°, sorted by position)
23.8 deg, I 3, (2 0 0); 33.9 deg, I 100, (2 2 0); 41.9 deg, I 1, (2 2 2); 48.7 deg, I 18, (4 0 0); 55.0 deg, I 2, (4 2 0); 60.7 deg, I 37, (4 2 2)


(3)
# Rb2InGaCl6
Calculated powder X-ray diffraction pattern, Cu Ka. Input: a GGA-PBE-relaxed structure.
No peak broadening, texture or thermal motion is included.

Cell and atoms:
Cell: 10.8202 10.8202 10.8202 Å, 90.00 90.00 90.00°
Space group Fm-3m (No. 225)
One atom of each set of equivalent atoms:
Rb (0.2500, 0.2500, 0.2500) x8
In (0.0000, 0.0000, 0.0000) x4
Ga (0.0000, 0.0000, 0.5000) x4
Cl (0.0000, 0.0000, 0.2365) x24

Peak list (10 most intense, 2θ from 5° to 70°, sorted by position)
14.2 deg, I 10, (1 1 1); 16.4 deg, I 12, (2 0 0); 23.3 deg, I 100, (2 2 0); 28.6 deg, I 19, (2 2 2); 33.1 deg, I 79, (4 0 0); 40.9 deg, I 45, (4 2 2); 47.5 deg, I 53, (4 4 0); 53.6 deg, I 22, (6 2 0); 59.2 deg, I 17, (4 4 4); 64.4 deg, I 25, (6 4 2)


(4)
# PaRh3
Calculated powder X-ray diffraction pattern, Cu Ka. Input: a GGA-PBE-relaxed structure.
No peak broadening, texture or thermal motion is included.

Cell and atoms:
Cell: 4.0646 4.0646 4.0646 Å, 90.00 90.00 90.00°
Space group Pm-3m (No. 221)
One atom of each set of equivalent atoms:
Pa (0.0000, 0.0000, 0.0000) x1
Rh (0.0000, 0.5000, 0.5000) x3

Peak list (8 most intense, 2θ from 5° to 70°, sorted by position)
21.9 deg, I 14, (1 0 0); 31.1 deg, I 13, (1 1 0); 38.4 deg, I 100, (1 1 1); 44.6 deg, I 49, (2 0 0); 50.2 deg, I 7, (2 1 0); 55.4 deg, I 5, (2 1 1); 64.9 deg, I 32, (2 2 0); 69.4 deg, I 4, (3 0 0)


(5)
# Ca8MgAl6Si5O28
Calculated powder X-ray diffraction pattern, Cu Ka. Input: a GGA-PBE-relaxed structure.
No peak broadening, texture or thermal motion is included.

Cell and atoms:
Cell: 8.5120 9.0535 9.3835 Å, 96.35 113.34 102.43°
Space group P1 (No. 1)
One atom of each set of equivalent atoms:
Ca (0.0000, 0.0000, 0.0000) x1
Ca (0.0016, 0.3147, 0.7855) x1
Ca (0.1769, 0.8358, 0.4466) x1
Ca (0.2987, 0.8364, 0.8516) x1
Ca (0.4958, 0.2021, 0.5160) x1
Ca (0.6424, 0.5716, 0.8335) x1
Ca (0.7331, 0.8992, 0.5182) x1
Ca (0.7963, 0.3258, 0.3278) x1
Mg (0.7357, 0.9105, 0.1483) x1
Al (0.0381, 0.1180, 0.3745) x1
Al (0.1385, 0.6311, 0.0418) x1
Al (0.3343, 0.1626, 0.7484) x1
Al (0.3462, 0.2430, 0.0706) x1
Al (0.5057, 0.5338, 0.4500) x1
Al (0.9125, 0.6004, 0.6397) x1
Si (0.1800, 0.4032, 0.2324) x1
Si (0.2563, 0.4710, 0.6569) x1
Si (0.3858, 0.9521, 0.2107) x1
Si (0.5356, 0.5838, 0.1459) x1
Si (0.6399, 0.0955, 0.8231) x1
O (0.9998, 0.9499, 0.2364) x1
O (0.0336, 0.7655, 0.6024) x1
O (0.0371, 0.4592, 0.5735) x1
O (0.0505, 0.2889, 0.2950) x1
O (0.0810, 0.5441, 0.1811) x1
O (0.1414, 0.2833, 0.0559) x1
O (0.1829, 0.8373, 0.0764) x1
O (0.2278, 0.1068, 0.5346) x1
O (0.2570, 0.3340, 0.7611) x1
O (0.2621, 0.0980, 0.8946) x1
O (0.3281, 0.5816, 0.0480) x1
O (0.3731, 0.6382, 0.7694) x1
O (0.3839, 0.4335, 0.5667) x1
O (0.3875, 0.1390, 0.2276) x1
O (0.4331, 0.9286, 0.3911) x1
O (0.4327, 0.9833, 0.7281) x1
O (0.5065, 0.9203, 0.1244) x1
O (0.5417, 0.3969, 0.1304) x1
O (0.5804, 0.2627, 0.8185) x1
O (0.5982, 0.7102, 0.6218) x1
O (0.5996, 0.6544, 0.3362) x1
O (0.6735, 0.6761, 0.0826) x1
O (0.6945, 0.4456, 0.5205) x1
O (0.7463, 0.0472, 0.9880) x1
O (0.7587, 0.1055, 0.7182) x1
O (0.7969, 0.7454, 0.7203) x1
O (0.8370, 0.0924, 0.3953) x1
O (0.9780, 0.5593, 0.8414) x1

Peak list (10 most intense, 2θ from 5° to 70°, sorted by position)
11.8 deg, I 61, (1 0 0); 23.0 deg, I 58, (2 -1 0); 25.5 deg, I 55, (0 1 2); 30.0 deg, I 56, (1 -3 0); 30.9 deg, I 70, (2 -2 1); 32.2 deg, I 68, (2 1 -3); 32.3 deg, I 64, (-2 1 3); 32.7 deg, I 68, (3 0 -1); 33.1 deg, I 100, (1 1 2); 41.9 deg, I 58, (0 1 -4)


Please write out number 4 again, unchanged.
# PaRh3
Calculated powder X-ray diffraction pattern, Cu Ka. Input: a GGA-PBE-relaxed structure.
No peak broadening, texture or thermal motion is included.

Cell and atoms:
Cell: 4.0646 4.0646 4.0646 Å, 90.00 90.00 90.00°
Space group Pm-3m (No. 221)
One atom of each set of equivalent atoms:
Pa (0.0000, 0.0000, 0.0000) x1
Rh (0.0000, 0.5000, 0.5000) x3

Peak list (8 most intense, 2θ from 5° to 70°, sorted by position)
21.9 deg, I 14, (1 0 0); 31.1 deg, I 13, (1 1 0); 38.4 deg, I 100, (1 1 1); 44.6 deg, I 49, (2 0 0); 50.2 deg, I 7, (2 1 0); 55.4 deg, I 5, (2 1 1); 64.9 deg, I 32, (2 2 0); 69.4 deg, I 4, (3 0 0)